1.
The following is a simulated XRD peak list of Pm4Sm3Ge4. It was derived from a PBE-relaxed structure, using Cu Kα.
Peak positions follow from Bragg's law for the DFT cell and can differ from measured ones.

Most intense lines, 10 to 90 degrees two-theta, by angle:
| 2θ/deg | d (Å) | I (rel.) |
| --- | --- | --- |
| 27.4 | 3.250 | 44 |
| 31.0 | 2.885 | 100 |
| 32.4 | 2.765 | 66 |
| 34.3 | 2.611 | 64 |
| 34.5 | 2.602 | 42 |
| 50.0 | 1.823 | 34 |

Crystal structure
```
11
Lattice="-1.9634 4.3878 8.6884 1.9634 -4.3878 8.6884 1.9634 4.3878 -8.6884" Properties=species:S:1:pos:R:3 pbc="T T T"
Pm 1.9634 -2.8396 5.7199
Pm 0.0000 1.5482 2.9685
Pm 1.9634 2.8396 5.7199
Pm 0.0000 7.2274 2.9685
Sm 1.9634 0.0000 0.0000
Sm 0.0000 0.0000 7.0286
Sm 0.0000 0.0000 10.3481
Ge 1.9634 0.0000 4.7672
Ge 0.0000 2.4191 0.0000
Ge 0.0000 6.3565 0.0000
Ge 0.0000 4.3878 3.9212
```

***

2.
The following is a simulated XRD peak list of Tb6TmHg5. It was derived from a PBE-relaxed structure, using Cu Kα.
Peak positions follow from Bragg's law for the DFT cell and can differ from measured ones.

Most intense lines, 10 to 90 degrees two-theta, by angle:
| 2θ/deg | d (Å) | I (rel.) |
| --- | --- | --- |
| 33.3 | 2.692 | 100 |
| 33.8 | 2.654 | 22 |
| 34.8 | 2.579 | 24 |
| 49.3 | 1.850 | 15 |
| 60.1 | 1.540 | 14 |
| 61.4 | 1.510 | 17 |

Crystal structure
```
12
Lattice="-2.5787 3.9237 7.9630 2.5787 -3.9237 7.9630 2.5787 3.9237 -7.9630" Properties=species:S:1:pos:R:3 pbc="T T T"
Tb 2.5787 1.9284 -2.7364
Tb 0.0000 1.7623 0.0000
Tb 2.5787 1.9284 2.7364
Tb 0.0000 1.9953 5.2266
Tb 0.0000 6.0850 0.0000
Tb 0.0000 1.9953 10.6995
Tm 0.0000 0.0000 7.9630
Hg 2.5787 0.0000 0.0000
Hg 0.0000 0.0000 2.7394
Hg 2.5787 0.0000 5.6710
Hg 0.0000 3.9237 2.2920
Hg 0.0000 0.0000 13.1867
```

***

3.
The following is a simulated XRD peak list of AcPrTcO6. It was derived from a PBE-relaxed structure, using Cu Kα.
Peak positions follow from Bragg's law for the DFT cell and can differ from measured ones.

Most intense lines, 10 to 90 degrees two-theta, by angle:
| 2θ/deg | d (Å) | I (rel.) |
| --- | --- | --- |
| 24.8 | 3.587 | 100 |
| 31.3 | 2.861 | 41 |
| 40.3 | 2.236 | 28 |
| 47.2 | 1.924 | 37 |
| 51.9 | 1.762 | 27 |
| 55.6 | 1.652 | 13 |

Crystal structure
```
9
Lattice="5.7214 0.0000 0.0000 -2.8607 4.9549 0.0000 0.0000 0.0000 5.1982" Properties=species:S:1:pos:R:3 pbc="T T T"
Ac 0.0000 0.0000 0.0000
Pr 0.0000 3.3033 2.5991
Tc 2.8607 1.6516 2.5991
O 2.0441 0.2702 3.7099
O 1.2561 1.6351 1.4884
O 3.6773 0.2702 1.4884
O 2.0727 3.0495 3.7099
O 4.4653 1.6351 3.7099
O 3.6487 3.0495 1.4884
```

***

4.
The following is a simulated XRD peak list of BaNi2Br. It was derived from a PBE-relaxed structure, using Cu Kα.
Peak positions follow from Bragg's law for the DFT cell and can differ from measured ones.

Most intense lines, 10 to 90 degrees two-theta, by angle:
| 2θ/deg | d (Å) | I (rel.) |
| --- | --- | --- |
| 26.1 | 3.415 | 87 |
| 26.7 | 3.336 | 56 |
| 30.3 | 2.948 | 97 |
| 32.3 | 2.773 | 100 |
| 37.8 | 2.378 | 65 |
| 44.0 | 2.058 | 86 |

Crystal structure
```
8
Lattice="7.1197 0.0000 0.0000 0.0000 4.1422 0.0000 -2.6557 0.0000 7.1330" Properties=species:S:1:pos:R:3 pbc="T T T"
Ba 0.0000 0.0000 0.0000
Ba 3.5598 2.0711 0.0000
Ni 1.1714 2.0711 2.2335
Ni 2.3683 0.0000 2.3419
Ni 4.7313 0.0000 2.2335
Ni 5.9281 2.0711 2.3419
Br -1.4763 2.0711 4.9076
Br 2.0835 0.0000 4.9076
```

***

5.
The following is a simulated XRD peak list of YTcSn. It was derived from a PBE-relaxed structure, using Cu Kα.
Peak positions follow from Bragg's law for the DFT cell and can differ from measured ones.

Most intense lines, 10 to 90 degrees two-theta, by angle:
| 2θ/deg | d (Å) | I (rel.) |
| --- | --- | --- |
| 13.1 | 6.750 | 41 |
| 30.6 | 2.921 | 22 |
| 38.5 | 2.337 | 100 |
| 39.3 | 2.291 | 52 |
| 56.8 | 1.620 | 18 |
| 70.8 | 1.332 | 33 |

Crystal structure
```
6
Lattice="4.5828 0.0000 0.0000 0.0000 4.5828 0.0000 0.0000 0.0000 6.7501" Properties=species:S:1:pos:R:3 pbc="T T T"
Y 1.1457 1.1457 1.4467
Y 3.4371 3.4371 5.3034
Tc 1.1457 3.4371 3.3750
Tc 3.4371 1.1457 3.3750
Sn 1.1457 1.1457 4.8834
Sn 3.4371 3.4371 1.8667
```

***

6.
The following is a simulated XRD peak list of BePH6CCl3. It was derived from a PBE-relaxed structure, using Cu Kα.
Peak positions follow from Bragg's law for the DFT cell and can differ from measured ones.

Most intense lines, 10 to 90 degrees two-theta, by angle:
| 2θ/deg | d (Å) | I (rel.) |
| --- | --- | --- |
| 21.6 | 4.119 | 55 |
| 26.2 | 3.395 | 40 |
| 27.1 | 3.296 | 50 |
| 28.8 | 3.101 | 100 |
| 29.0 | 3.077 | 74 |
| 33.5 | 2.675 | 40 |

Crystal structure
```
48
Lattice="5.7526 0.0000 0.0000 -0.1753 7.9199 0.0000 -0.4883 -1.1645 16.4484" Properties=species:S:1:pos:R:3 pbc="T T T"
Be 0.0000 0.0000 0.0000
Be 0.2742 4.5368 6.1751
Be 2.4512 -0.1748 14.2720
Be 3.1801 3.4604 8.2725
P 1.7337 7.5252 3.6353
P 1.6340 3.7630 11.9310
P 3.9472 4.0002 0.5890
P 4.9042 -0.3412 8.8833
H -0.0542 0.2047 11.0726
H 0.0052 6.6258 8.7826
H 0.0757 4.5583 13.5515
H 0.6729 0.0895 3.1475
H 0.6687 2.8953 13.9231
H 1.2299 4.5942 10.8773
H 1.6161 6.1333 3.8605
H 1.7586 0.2806 5.9161
H 1.9600 2.5228 11.3550
H 2.4903 1.5541 4.8926
H 2.6703 7.7279 2.5961
H 2.9869 2.9947 0.3768
H 3.0270 4.4389 2.7522
H 2.7849 4.3050 12.5102
H 3.4586 0.1057 5.3686
H 3.0655 3.9595 16.2862
H 3.5706 6.9765 8.3710
H 4.0531 -0.4983 11.1186
H 4.2652 1.1961 10.5839
H 4.5414 5.3792 2.4436
H 4.6273 3.6436 2.8535
H 5.1677 3.5430 0.0793
H 5.2509 0.7362 8.0483
H 5.2000 3.1370 12.6403
C 0.3227 3.5741 13.1346
C 2.4618 0.4762 5.0994
C 4.0412 4.4112 2.3329
C 4.7143 0.1971 10.5851
Cl 0.7276 6.2182 0.5151
Cl 1.1320 3.8085 4.5348
Cl 0.9229 0.1935 15.6944
Cl 1.5226 6.9815 12.6045
Cl 1.7412 4.8766 7.6670
Cl 2.2848 1.7133 8.6319
Cl 3.2938 1.6125 14.0070
Cl 3.6621 6.3217 14.9742
Cl 4.0683 4.2516 9.8922
Cl 4.6068 3.1231 6.7805
Cl 4.8624 0.9315 1.5402
Cl 5.1773 6.3188 5.8604
```

***

7.
The following is a simulated XRD peak list of Li5Zn3Ag3. It was derived from a PBE-relaxed structure, using Cu Kα.
Peak positions follow from Bragg's law for the DFT cell and can differ from measured ones.

Most intense lines, 10 to 90 degrees two-theta, by angle:
| 2θ/deg | d (Å) | I (rel.) |
| --- | --- | --- |
| 19.6 | 4.526 | 100 |
| 22.7 | 3.919 | 40 |
| 33.8 | 2.651 | 31 |
| 37.6 | 2.391 | 31 |
| 41.5 | 2.174 | 72 |
| 44.4 | 2.041 | 45 |

Crystal structure
```
11
Lattice="9.0512 0.0000 0.0000 -4.5256 7.8386 0.0000 0.0000 0.0000 2.8169" Properties=species:S:1:pos:R:3 pbc="T T T"
Li -1.5196 2.6321 0.0000
Li 0.0000 5.2257 0.0000
Li 3.0392 0.0000 0.0000
Li 3.0060 5.2065 0.0000
Li 4.5256 2.6129 0.0000
Zn -3.7876 6.5603 0.0000
Zn 0.7380 1.2783 0.0000
Zn 7.5752 0.0000 0.0000
Ag -2.6639 4.6139 1.4085
Ag 1.8618 3.2247 1.4085
Ag 5.3277 0.0000 1.4085
```

***

8.
The following is a simulated XRD peak list of Y5SiS5. It was derived from a PBE-relaxed structure, using Cu Kα.
Peak positions follow from Bragg's law for the DFT cell and can differ from measured ones.

Most intense lines, 10 to 90 degrees two-theta, by angle:
| 2θ/deg | d (Å) | I (rel.) |
| --- | --- | --- |
| 27.6 | 3.237 | 45 |
| 31.9 | 2.809 | 100 |
| 32.1 | 2.793 | 50 |
| 45.8 | 1.981 | 86 |
| 56.8 | 1.620 | 18 |
| 75.8 | 1.255 | 22 |

Crystal structure
```
11
Lattice="6.2881 -2.7925 0.0000 6.2881 2.7925 0.0000 -2.4981 0.0000 7.5304" Properties=species:S:1:pos:R:3 pbc="T T T"
Y 0.0000 0.0000 0.0000
Y 2.5586 0.0000 5.0019
Y 3.8326 0.0000 1.3203
Y 6.2454 0.0000 6.2102
Y 7.5194 0.0000 2.5285
Si 6.2881 0.0000 0.0000
S 1.3215 0.0000 2.5086
S 0.0692 0.0000 6.3359
S 5.0390 0.0000 3.7652
S 10.0088 0.0000 1.1945
S 8.7565 0.0000 5.0218
```

***

9.
The following is a simulated XRD peak list of Tm4Co3Rh. It was derived from a PBE-relaxed structure, using Cu Kα.
Peak positions follow from Bragg's law for the DFT cell and can differ from measured ones.

Most intense lines, 10 to 90 degrees two-theta, by angle:
| 2θ/deg | d (Å) | I (rel.) |
| --- | --- | --- |
| 26.9 | 3.313 | 19 |
| 38.4 | 2.343 | 100 |
| 55.5 | 1.656 | 17 |
| 69.5 | 1.353 | 17 |
| 69.5 | 1.352 | 17 |
| 82.3 | 1.171 | 9 |

Crystal structure
```
8
Lattice="3.3100 0.0000 0.0000 0.0000 4.6918 0.0000 0.0000 0.0000 9.3655" Properties=species:S:1:pos:R:3 pbc="T T T"
Tm 0.0000 0.0000 0.0000
Tm 0.0000 0.0000 4.6827
Tm 0.0000 2.3459 2.2862
Tm 0.0000 2.3459 7.0793
Co 1.6550 0.0000 2.3340
Co 1.6550 0.0000 7.0315
Co 1.6550 2.3459 0.0000
Rh 1.6550 2.3459 4.6827
```